[1]
For MgMn4O4F6, DFT lattice parameters and positions (PBE+U) gives the computed powder diffractogram in this record (Cu Kα (λ = 1.5418 Å)).
No peak broadening, texture or thermal motion is included.

Main lines, low angle first (10° ≤ 2θ ≤ 90°):
2θ = 17.1°, d 5.173, I = 100; 2θ = 19.0°, d 4.666, I = 25; 2θ = 19.4°, d 4.587, I = 26; 2θ = 26.5°, d 3.364, I = 18; 2θ = 30.1°, d 2.969, I = 22; 2θ = 30.5°, d 2.928, I = 21; 2θ = 34.3°, d 2.613, I = 17; 2θ = 34.7°, d 2.586, I = 17; 2θ = 35.4°, d 2.539, I = 16; 2θ = 47.7°, d 1.907, I = 17

Structure:
```
MgMn4O4F6
1.0
5.1734 0.0000 0.0000
2.5011 5.4339 0.0000
0.1119 2.1977 6.8356
Mg Mn O F
1 4 4 6
Direct
0.0000 0.0000 0.0000
0.2052 0.5609 0.8770
0.2163 0.5994 0.3916
0.7837 0.4006 0.6084
0.7948 0.4391 0.1230
0.0344 0.6167 0.1249
0.3870 0.5650 0.6447
0.6130 0.4350 0.3553
0.9656 0.3833 0.8751
0.1308 0.0031 0.2435
0.1561 0.2584 0.5317
0.4010 0.7583 0.9486
0.5990 0.2417 0.0514
0.8439 0.7416 0.4683
0.8692 0.9969 0.7565
```

=====

[2]
For Pr2Mo3O12, DFT lattice parameters and positions (PBE+U) gives the computed powder diffractogram in this record (Cu Kα (λ = 1.5418 Å)).
No peak broadening, texture or thermal motion is included.

Main lines, low angle first (10° ≤ 2θ ≤ 90°):
2θ = 16.1°, d 5.522, I = 60; 2θ = 18.2°, d 4.866, I = 83; 2θ = 23.0°, d 3.868, I = 85; 2θ = 23.2°, d 3.833, I = 72; 2θ = 24.2°, d 3.681, I = 54; 2θ = 24.6°, d 3.621, I = 91; 2θ = 26.0°, d 3.428, I = 100; 2θ = 28.3°, d 3.149, I = 98; 2θ = 29.3°, d 3.045, I = 77; 2θ = 44.3°, d 2.045, I = 56

Structure:
```
Pr2Mo3O12
1.0
7.6662 0.0000 0.0000
0.0000 7.6662 0.0000
0.0000 0.0000 11.0438
Pr Mo O
4 6 24
Direct
0.1885 0.3115 0.2616
0.3115 0.8115 0.7384
0.6885 0.1885 0.7384
0.8115 0.6885 0.2616
0.0000 0.0000 0.0000
0.2081 0.2919 0.6431
0.2919 0.7919 0.3569
0.5000 0.5000 0.0000
0.7081 0.2081 0.3569
0.7919 0.7081 0.6431
0.0005 0.2262 0.7006
0.0402 0.1860 0.0946
0.1292 0.6292 0.3116
0.1860 0.9598 0.9054
0.1955 0.3045 0.4823
0.2262 0.9995 0.2994
0.2738 0.4995 0.7006
0.3045 0.8045 0.5177
0.3140 0.4598 0.0946
0.3708 0.1292 0.6884
0.4598 0.6860 0.9054
0.4995 0.7262 0.2994
0.5005 0.2738 0.2994
0.5402 0.3140 0.9054
0.6292 0.8708 0.6884
0.6860 0.5402 0.0946
0.6955 0.1955 0.5177
0.7262 0.5005 0.7006
0.7738 0.0005 0.2994
0.8045 0.6955 0.4823
0.8140 0.0402 0.9054
0.8708 0.3708 0.3116
0.9598 0.8140 0.0946
0.9995 0.7738 0.7006
```